For Li2Mn5O5, DFT lattice parameters and positions (GGA+U) gives the simulated PXRD pattern in this record (a wavelength of 1.5418 Å).

Most intense lines, 10° ≤ 2θ ≤ 80°, sorted by position:
- 2θ = 24.11°, I 35
- 2θ = 32.12°, I 54
- 2θ = 34.36°, I 46
- 2θ = 34.50°, I 43
- 2θ = 40.56°, I 100
- 2θ = 49.49°, I 59

Structure:
Cell: 5.831 5.831 5.831 Å, 101.46 101.46 127.05°
Sites, in units of the cell vectors:
Li 0.000 0.500 0.500
Li 0.500 0.000 0.500
Mn 0.111 0.111 0.000
Mn 0.380 0.380 0.593
Mn 0.380 0.787 0.000
Mn 0.787 0.380 0.000
Mn 0.787 0.787 0.407
O 0.270 0.561 0.291
O 0.270 0.979 0.709
O 0.561 0.270 0.291
O 0.697 0.697 0.000
O 0.979 0.270 0.709